This entry pairs a crystal structure of Na2ZnBi3 with its calculated XRD peak list. Radiation: Cu Kα (weighted mean of Kα1 and Kα2). Structure: DFT lattice parameters and positions (GGA-PBE).
Lines closer than 0.1° are merged.

Structure:
a b c (Å): 6.8961 10.6385 18.6674
angles (deg): 90.00 90.00 90.00
Space group Fmmm (No. 69)
Unique sites:
Na1 0.2464 0.0000 0.0000
Na2 0.2500 0.2500 0.2500
Zn1 0.0000 0.0000 0.3397
Bi1 0.0000 0.0000 0.1883
Bi2 0.0000 0.2398 0.4132

Principal peaks in the range 5° ≤ 2θ ≤ 70°, in order of rising 2θ:
- 2θ = 19.0°, I = 22.8, hkl 0 0 4
- 2θ = 19.2°, I = 86.0, hkl 0 2 2
- 2θ = 25.8°, I = 87.9, hkl 2 0 0
- 2θ = 28.5°, I = 25.5, hkl 1 1 5
- 2θ = 32.3°, I = 26.3, hkl 2 0 4
- 2θ = 32.4°, I = 84.3, hkl 2 2 2
- 2θ = 33.4°, I = 100.0, hkl 0 2 6
- 2θ = 33.7°, I = 57.9, hkl 0 4 0
- 2θ = 42.7°, I = 75.1, hkl 2 2 6
- 2θ = 42.9°, I = 45.1, hkl 2 4 0
- 2θ = 59.4°, I = 20.0, hkl 0 0 12
- 2θ = 64.2°, I = 30.9, hkl 4 2 6

This entry pairs a crystal structure of MnPOsRuSeS with its calculated XRD peak list. Radiation: Cu Kα (weighted mean of Kα1 and Kα2). Structure: DFT lattice parameters and positions (GGA-PBE).
Lines closer than 0.1° are merged.

Structure:
a b c (Å): 5.2592 3.0559 6.2351
angles (deg): 90.00 114.59 90.00
Space group Pm (No. 6)
Unique sites:
Mn1 0.0000 0.0000 0.0000
P1 0.6997 0.5000 0.0482
Os1 0.4868 0.5000 0.6505
Ru1 0.6644 0.0000 0.3113
Se1 0.1252 0.0000 0.6644
S1 0.2725 0.5000 0.2441

Principal peaks in the range 5° ≤ 2θ ≤ 70°, in order of rising 2θ:
- 2θ = 15.6°, I = 28.3, hkl 0 0 1
- 2θ = 18.6°, I = 33.1, hkl 1 0 0
- 2θ = 29.0°, I = 30.9, hkl 1 0 1
- 2θ = 29.2°, I = 25.9, hkl 1 0 -2
- 2θ = 31.6°, I = 18.5, hkl 0 0 2
- 2θ = 34.9°, I = 100.0, hkl 1 1 -1
- 2θ = 41.6°, I = 15.8, hkl 1 1 1
- 2θ = 43.6°, I = 16.0, hkl 0 1 2
- 2θ = 45.5°, I = 26.2, hkl 2 1 -1
- 2θ = 48.2°, I = 20.4, hkl 0 0 3
- 2θ = 53.1°, I = 22.8, hkl 1 1 2
- 2θ = 53.3°, I = 17.9, hkl 1 1 -3